# 1
Starting from a crystal structure in OQMD, relaxed with GGA-PBE, the powder X-ray diffraction pattern of LiHfAgTe3 was simulated for Cu Kα X-rays.
No peak broadening, texture or thermal motion is included.

Structure:
a b c (Å): 8.0228 4.0934 9.9539
angles (deg): 90.00 103.72 90.00
Atoms (fractional coordinates):
Li 0.2366 0.2500 0.2009
Li 0.7634 0.7500 0.7991
Hf 0.1888 0.7500 0.6816
Hf 0.8112 0.2500 0.3184
Ag 0.4142 0.2500 0.9074
Ag 0.5858 0.7500 0.0926
Te 0.0834 0.7500 0.3660
Te 0.1998 0.7500 0.9718
Te 0.4239 0.2500 0.6347
Te 0.5761 0.7500 0.3653
Te 0.8002 0.2500 0.0282
Te 0.9166 0.2500 0.6340

Peak list (10 most intense, 2θ = 10–80°, in order of rising 2θ)
2θ (°), I (rel.)
12.8, 1000
24.6, 327
27.7, 511
31.5, 342
31.7, 876
34.6, 251
35.2, 383
44.3, 304
45.0, 313
46.3, 356



# 2
Starting from a crystal structure in OQMD, relaxed with GGA-PBE, the powder X-ray diffraction pattern of NaHfAgTe2S was simulated for Cu Kα X-rays.
No peak broadening, texture or thermal motion is included.

Structure:
a b c (Å): 8.0904 8.0904 10.0420
angles (deg): 90.00 90.00 150.42
Atoms (fractional coordinates):
Na 0.2274 0.7726 0.7500
Na 0.7726 0.2274 0.2500
Hf 0.0000 0.0000 0.0000
Hf 0.0000 0.0000 0.5000
Ag 0.4315 0.5685 0.2500
Ag 0.5685 0.4315 0.7500
Te 0.3636 0.6364 0.0000
Te 0.3636 0.6364 0.5000
Te 0.6364 0.3636 0.0000
Te 0.6364 0.3636 0.5000
S 0.0284 0.9716 0.2500
S 0.9716 0.0284 0.7500

Peak list (10 most intense, 2θ = 10–80°, in order of rising 2θ)
2θ (°), I (rel.)
11.3, 976
17.7, 456
27.5, 699
29.0, 264
32.9, 1000
35.8, 447
36.0, 354
38.9, 282
43.8, 251
45.7, 349



# 3
Starting from a crystal structure in OQMD, relaxed with GGA-PBE, the powder X-ray diffraction pattern of HfNiAg2 was simulated for Cu Kα X-rays.
No peak broadening, texture or thermal motion is included.

Structure:
a b c (Å): 4.5505 4.5505 4.5505
angles (deg): 60.00 60.00 60.00
Atoms (fractional coordinates):
Hf 0.0000 0.0000 0.0000
Ni 0.7500 0.7500 0.7500
Ag 0.2500 0.2500 0.2500
Ag 0.5000 0.5000 0.5000

Peak list (10 most intense, 2θ = 10–80°, in order of rising 2θ)
2θ (°), I (rel.)
24.0, 69
27.7, 71
39.6, 1000
46.8, 37
49.0, 21
57.3, 165
63.0, 16
64.8, 29
71.9, 328
77.0, 13



# 4
Starting from a crystal structure in OQMD, relaxed with GGA-PBE, the powder X-ray diffraction pattern of Hf2Ni3Ag was simulated for Cu Kα X-rays.
No peak broadening, texture or thermal motion is included.

Structure:
a b c (Å): 3.2955 3.2955 8.4619
angles (deg): 90.00 90.00 90.00
Atoms (fractional coordinates):
Hf 0.0000 0.0000 0.0000
Hf 0.5000 0.5000 0.4602
Ni 0.0000 0.0000 0.3182
Ni 0.5000 0.5000 0.1543
Ni 0.5000 0.5000 0.8398
Ag 0.0000 0.0000 0.6631

Peak list (10 most intense, 2θ = 10–80°, in order of rising 2θ)
2θ (°), I (rel.)
21.0, 130
29.1, 286
34.5, 81
38.6, 712
42.2, 1000
44.4, 80
55.8, 239
64.1, 68
72.3, 388
79.4, 107



# 5
Starting from a crystal structure in OQMD, relaxed with GGA-PBE, the powder X-ray diffraction pattern of HfTlNiAg was simulated for Cu Kα X-rays.
No peak broadening, texture or thermal motion is included.

Structure:
a b c (Å): 4.6746 4.6746 4.6746
angles (deg): 60.00 60.00 60.00
Atoms (fractional coordinates):
Hf 0.0000 0.0000 0.0000
Tl 0.2500 0.2500 0.2500
Ni 0.5000 0.5000 0.5000
Ag 0.7500 0.7500 0.7500

Peak list (10 most intense, 2θ = 10–80°, in order of rising 2θ)
2θ (°), I (rel.)
23.3, 152
27.0, 21
38.5, 1000
45.5, 84
47.7, 6
55.6, 171
61.1, 37
62.9, 8
69.7, 344
74.6, 29



# 6
Starting from a crystal structure in OQMD, relaxed with GGA-PBE, the powder X-ray diffraction pattern of HfSi2AgO7 was simulated for Cu Kα X-rays.
No peak broadening, texture or thermal motion is included.

Structure:
a b c (Å): 5.4665 5.4665 4.7200
angles (deg): 98.06 98.06 102.94
Atoms (fractional coordinates):
Hf 0.0000 0.0000 0.0000
Si 0.1209 0.4684 0.5860
Si 0.5316 0.8791 0.4140
Ag 0.6153 0.3847 0.0000
O 0.2070 0.2778 0.8006
O 0.3309 0.0119 0.2501
O 0.3880 0.6120 0.5000
O 0.6969 0.0641 0.7143
O 0.7222 0.7930 0.1994
O 0.9359 0.3031 0.2857
O 0.9881 0.6691 0.7499

Peak list (10 most intense, 2θ = 10–80°, in order of rising 2θ)
2θ (°), I (rel.)
16.9, 483
19.3, 755
20.8, 309
26.9, 291
28.0, 428
28.5, 1000
29.4, 796
34.2, 837
41.1, 398
55.5, 489



Repeat the fifth record exactly.
Starting from a crystal structure in OQMD, relaxed with GGA-PBE, the powder X-ray diffraction pattern of HfTlNiAg was simulated for Cu Kα X-rays.
No peak broadening, texture or thermal motion is included.

Structure:
a b c (Å): 4.6746 4.6746 4.6746
angles (deg): 60.00 60.00 60.00
Atoms (fractional coordinates):
Hf 0.0000 0.0000 0.0000
Tl 0.2500 0.2500 0.2500
Ni 0.5000 0.5000 0.5000
Ag 0.7500 0.7500 0.7500

Peak list (10 most intense, 2θ = 10–80°, in order of rising 2θ)
2θ (°), I (rel.)
23.3, 152
27.0, 21
38.5, 1000
45.5, 84
47.7, 6
55.6, 171
61.1, 37
62.9, 8
69.7, 344
74.6, 29



Repeat the sixth record exactly.
Starting from a crystal structure in OQMD, relaxed with GGA-PBE, the powder X-ray diffraction pattern of HfSi2AgO7 was simulated for Cu Kα X-rays.
No peak broadening, texture or thermal motion is included.

Structure:
a b c (Å): 5.4665 5.4665 4.7200
angles (deg): 98.06 98.06 102.94
Atoms (fractional coordinates):
Hf 0.0000 0.0000 0.0000
Si 0.1209 0.4684 0.5860
Si 0.5316 0.8791 0.4140
Ag 0.6153 0.3847 0.0000
O 0.2070 0.2778 0.8006
O 0.3309 0.0119 0.2501
O 0.3880 0.6120 0.5000
O 0.6969 0.0641 0.7143
O 0.7222 0.7930 0.1994
O 0.9359 0.3031 0.2857
O 0.9881 0.6691 0.7499

Peak list (10 most intense, 2θ = 10–80°, in order of rising 2θ)
2θ (°), I (rel.)
16.9, 483
19.3, 755
20.8, 309
26.9, 291
28.0, 428
28.5, 1000
29.4, 796
34.2, 837
41.1, 398
55.5, 489